Calculated PXRD pattern of V2HgPdO8 for Cu Kα, 1.54184 Å, from DFT lattice parameters and positions (PBE+U).

Principal peaks in the range 2θ from 10° to 90°, sorted by position:
2theta	d (Å)	I (rel.)	hkl
18.07	4.910	100.0	1 0 0
22.85	3.893	25.5	0 1 1
31.56	2.835	62.6	1 1 0
33.47	2.677	65.2	1 0 2
46.67	1.946	36.6	2 0 2
57.43	1.604	31.6	2 1 2

Crystal structure
```
data_V2HgPdO8
_cell_length_a 5.6691
_cell_length_b 5.6691
_cell_length_c 6.3875
_cell_angle_alpha 90.00
_cell_angle_beta 90.00
_cell_angle_gamma 120.00
_symmetry_space_group_name_H-M 'P -3 m 1'
_symmetry_Int_Tables_number 164
_symmetry_space_group_name_Hall '-P 3 2"'
loop_
_atom_site_label
_atom_site_type_symbol
_atom_site_fract_x
_atom_site_fract_y
_atom_site_fract_z
V1 V 0.3333 0.6667 0.2317
Hg1 Hg 0.0000 0.0000 0.0000
Pd1 Pd 0.0000 0.0000 0.5000
O1 O 0.1556 0.3112 0.2980
O2 O 0.3333 0.6667 0.9763
```